The following is a computed powder X-ray diffraction pattern of NaGeAs. It was derived from DFT lattice parameters and positions (GGA-PBE), using Cu Kα (weighted mean of Kα1 and Kα2).
Peak positions follow from Bragg's law for the DFT cell and can differ from measured ones.

Crystal structure
a = 6.1837 Å, b = 6.1837 Å, c = 6.1837 Å
α = 35.95°, β = 35.95°, γ = 35.95°
Positions (direct):
Na (0.0000, 0.0000, 0.0000)
Ge (0.2001, 0.2001, 0.2001)
As (0.7940, 0.7940, 0.7940)

Main lines, low angle first (2θ from 10° to 90°):
- 2θ 15.34, 5.778 Å, I = 88
- 2θ 27.47, 3.247 Å, I = 36
- 2θ 28.91, 3.088 Å, I = 68
- 2θ 34.12, 2.628 Å, I = 29
- 2θ 37.60, 2.392 Å, I = 100
- 2θ 45.79, 1.982 Å, I = 22
- 2θ 47.66, 1.908 Å, I = 51
- 2θ 50.36, 1.812 Å, I = 34
- 2θ 60.29, 1.535 Å, I = 24
- 2θ 62.23, 1.492 Å, I = 22

The following is a computed powder X-ray diffraction pattern of InPtBr. It was derived from DFT lattice parameters and positions (GGA-PBE), using Cu Kα (weighted mean of Kα1 and Kα2).
Peak positions follow from Bragg's law for the DFT cell and can differ from measured ones.

Crystal structure
a = 6.1988 Å, b = 6.1988 Å, c = 6.1988 Å
α = 147.48°, β = 147.48°, γ = 46.65°
Positions (direct):
In (0.0000, 0.0000, 0.0000)
Pt (0.6035, 0.6035, 0.0000)
Br (0.2845, 0.2845, 0.0000)

Main lines, low angle first (2θ from 10° to 90°):
- 2θ 15.57, 5.692 Å, I = 47
- 2θ 35.03, 2.561 Å, I = 100
- 2θ 36.61, 2.454 Å, I = 58
- 2θ 40.00, 2.254 Å, I = 19
- 2θ 47.77, 1.904 Å, I = 21
- 2θ 52.74, 1.736 Å, I = 20
- 2θ 63.13, 1.473 Å, I = 13
- 2θ 64.90, 1.437 Å, I = 33
- 2θ 73.89, 1.283 Å, I = 12
- 2θ 86.71, 1.123 Å, I = 11

The following is a computed powder X-ray diffraction pattern of Cs4ZnI2. It was derived from DFT lattice parameters and positions (GGA-PBE), using Cu Kα (weighted mean of Kα1 and Kα2).
Peak positions follow from Bragg's law for the DFT cell and can differ from measured ones.

Crystal structure
a = 11.2296 Å, b = 11.2296 Å, c = 11.2296 Å
α = 144.17°, β = 144.17°, γ = 51.57°
Positions (direct):
Cs (0.0000, 0.5000, 0.5000)
Cs (0.1899, 0.1899, 0.0000)
Cs (0.5000, 0.0000, 0.5000)
Cs (0.8101, 0.8101, 0.0000)
Zn (0.0000, 0.0000, 0.0000)
I (0.3768, 0.3768, 0.0000)
I (0.6232, 0.6232, 0.0000)

Main lines, low angle first (2θ from 10° to 90°):
- 2θ 18.16, 4.885 Å, I = 34
- 2θ 20.19, 4.398 Å, I = 71
- 2θ 25.35, 3.513 Å, I = 53
- 2θ 25.52, 3.490 Å, I = 74
- 2θ 25.79, 3.454 Å, I = 100
- 2θ 36.60, 2.455 Å, I = 57
- 2θ 36.80, 2.442 Å, I = 39
- 2θ 37.27, 2.412 Å, I = 24
- 2θ 42.32, 2.135 Å, I = 23
- 2θ 45.22, 2.005 Å, I = 22

The following is a computed powder X-ray diffraction pattern of NaH6O3. It was derived from DFT lattice parameters and positions (GGA-PBE), using Cu Kα (weighted mean of Kα1 and Kα2).
Peak positions follow from Bragg's law for the DFT cell and can differ from measured ones.

Crystal structure
a = 6.1074 Å, b = 6.1074 Å, c = 6.1074 Å
α = 113.75°, β = 113.75°, γ = 113.75°
Positions (direct):
Na (0.0000, 0.0000, 0.0000)
H (0.3286, 0.8267, 0.8267)
H (0.5215, 0.5215, 0.9619)
H (0.5215, 0.9619, 0.5215)
H (0.8267, 0.3286, 0.8267)
H (0.8267, 0.8267, 0.3286)
H (0.9619, 0.5215, 0.5215)
O (0.1095, 0.7372, 0.7372)
O (0.7372, 0.1095, 0.7372)
O (0.7372, 0.7372, 0.1095)

Main lines, low angle first (2θ from 10° to 90°):
- 2θ 17.34, 5.115 Å, I = 16
- 2θ 21.53, 4.127 Å, I = 100
- 2θ 27.78, 3.212 Å, I = 93
- 2θ 30.27, 2.953 Å, I = 43
- 2θ 35.09, 2.557 Å, I = 33
- 2θ 39.98, 2.255 Å, I = 12
- 2θ 41.54, 2.174 Å, I = 26
- 2θ 47.52, 1.914 Å, I = 28
- 2θ 48.88, 1.863 Å, I = 33
- 2θ 53.76, 1.705 Å, I = 14